Dy2Br2O: theoretical powder diffraction line list (CuKα), based on DFT lattice parameters and positions (GGA-PBE).

Main lines, by intensity (5 to 70 degrees two-theta):
d/Å	Position (°2θ)	I_rel
4.085	21.8	100
2.889	31.0	41
2.574	34.9	30
13.257	6.7	24
1.827	49.9	21
1.943	46.7	19
2.178	41.5	18
2.043	44.3	15
3.314	26.9	15
1.600	57.6	14

Cell and atoms:
Unit cell a=4.085 b=4.085 c=13.257 alpha=90.00 beta=90.00 gamma=90.00
Element x y z (fractional)
Dy 0.000 0.000 0.155
Dy 0.000 0.000 0.845
Br 0.000 0.000 0.352
Br 0.000 0.000 0.648
O 0.000 0.000 0.000



DyBr3O6: theoretical powder diffraction line list (CuKα), based on DFT lattice parameters and positions (GGA-PBE).

Main lines, by intensity (5 to 70 degrees two-theta):
d/Å	Position (°2θ)	I_rel
3.626	24.5	100
3.084	29.0	81
5.649	15.7	33
2.899	30.8	28
2.353	38.3	27
4.199	21.2	26
2.743	32.6	25
3.746	23.8	19
2.157	41.9	18
1.778	51.4	18

Cell and atoms:
Unit cell a=5.949 b=6.277 c=11.187 alpha=90.00 beta=108.28 gamma=90.00
Element x y z (fractional)
Dy 0.000 0.186 0.250
Dy 0.000 0.814 0.750
Br 0.189 0.289 0.951
Br 0.189 0.711 0.451
Br 0.500 0.418 0.750
Br 0.500 0.582 0.250
Br 0.811 0.289 0.549
Br 0.811 0.711 0.049
O 0.058 0.213 0.063
O 0.058 0.787 0.563
O 0.241 0.073 0.862
O 0.241 0.927 0.362
O 0.316 0.420 0.307
O 0.316 0.580 0.807
O 0.684 0.420 0.193
O 0.684 0.580 0.693
O 0.759 0.073 0.638
O 0.759 0.927 0.138
O 0.942 0.213 0.437
O 0.942 0.787 0.937



RbDyBr3: theoretical powder diffraction line list (CuKα), based on DFT lattice parameters and positions (GGA-PBE).

Main lines, by intensity (5 to 70 degrees two-theta):
d/Å	Position (°2θ)	I_rel
2.813	31.8	100
5.626	15.8	70
3.979	22.3	49
2.517	35.7	39
1.989	45.6	38
2.247	40.1	27
3.329	26.8	22
2.586	34.7	18
1.904	47.8	14
4.118	21.6	12

Cell and atoms:
Unit cell a=8.236 b=11.259 c=7.700 alpha=90.00 beta=90.00 gamma=90.00
Element x y z (fractional)
Rb 0.069 0.250 0.030
Rb 0.431 0.750 0.530
Rb 0.569 0.250 0.470
Rb 0.931 0.750 0.970
Dy 0.000 0.000 0.500
Dy 0.000 0.500 0.500
Dy 0.500 0.000 0.000
Dy 0.500 0.500 0.000
Br 0.011 0.750 0.420
Br 0.213 0.534 0.792
Br 0.213 0.966 0.792
Br 0.287 0.034 0.292
Br 0.287 0.466 0.292
Br 0.489 0.250 0.920
Br 0.511 0.750 0.080
Br 0.713 0.534 0.708
Br 0.713 0.966 0.708
Br 0.787 0.034 0.208
Br 0.787 0.466 0.208
Br 0.989 0.250 0.580



DySBr: theoretical powder diffraction line list (CuKα), based on DFT lattice parameters and positions (GGA-PBE).

Main lines, by intensity (5 to 70 degrees two-theta):
d/Å	Position (°2θ)	I_rel
4.622	19.2	100
3.039	29.4	87
9.113	9.7	76
2.011	45.1	53
2.218	40.7	43
3.058	29.2	41
2.681	33.4	34
1.866	48.8	23
2.039	44.4	15
1.623	56.7	14

Cell and atoms:
Unit cell a=4.079 b=5.363 c=9.113 alpha=90.00 beta=90.00 gamma=90.00
Element x y z (fractional)
Dy 0.250 0.250 0.128
Dy 0.750 0.750 0.872
S 0.250 0.750 0.074
S 0.750 0.250 0.926
Br 0.250 0.750 0.657
Br 0.750 0.250 0.343